Starting from a crystal structure in Alexandria, relaxed with PBE, the XRD peak list of Li3Ga4Ag2 was simulated for Cu Kα (weighted mean of Kα1 and Kα2).
Lines closer than 0.1° are merged.

Top 12 peaks for 10° ≤ 2θ ≤ 90°, in order of falling intensity:
| 2θ/deg | intensity |
| --- | --- |
| 39.85 | 100 |
| 22.69 | 92 |
| 31.23 | 59 |
| 38.95 | 57 |
| 51.46 | 55 |
| 51.51 | 27 |
| 79.14 | 17 |
| 80.83 | 14 |
| 71.79 | 11 |
| 56.92 | 11 |
| 72.29 | 10 |
| 79.20 | 8 |

Structure:
```
data_Li3Ga4Ag2
_cell_length_a 13.593
_cell_length_b 7.826
_cell_length_c 5.728
_cell_angle_alpha 90.00
_cell_angle_beta 90.05
_cell_angle_gamma 90.00
_space_group_name_H-M_alt 'C 1 2/c 1'
_space_group_IT_number 15
loop_
_space_group_symop_operation_xyz
'x,y,z'
'-x,-y,-z'
'-x,y,-z+1/2'
'x,-y,z+1/2'
'x+1/2,y+1/2,z'
'-x+1/2,-y+1/2,-z'
'-x+1/2,y+1/2,-z+1/2'
'x+1/2,-y+1/2,z+1/2'
loop_
_atom_site_label
_atom_site_fract_x
_atom_site_fract_y
_atom_site_fract_z
_atom_site_occupancy
Li1 0.000 0.000 0.250 1
Li2 0.168 0.500 0.250 1
Ga1 0.001 0.337 0.000 1
Ga2 0.166 0.172 0.001 1
Ag1 0.162 0.161 0.501 1
```

=====

Starting from a crystal structure in Alexandria, relaxed with PBE, the XRD peak list of La3Dy8 was simulated for Cu Kα (weighted mean of Kα1 and Kα2).
Lines closer than 0.1° are merged.

Top 12 peaks for 10° ≤ 2θ ≤ 90°, in order of falling intensity:
| 2θ/deg | intensity |
| --- | --- |
| 30.38 | 100 |
| 35.27 | 34 |
| 50.60 | 18 |
| 50.72 | 18 |
| 35.11 | 17 |
| 60.08 | 14 |
| 60.27 | 14 |
| 60.32 | 14 |
| 63.20 | 12 |
| 85.29 | 7 |
| 82.37 | 6 |
| 82.51 | 6 |

Structure:
```
data_La3Dy8
_cell_length_a 11.378
_cell_length_b 5.090
_cell_length_c 13.034
_cell_angle_alpha 90.00
_cell_angle_beta 105.32
_cell_angle_gamma 90.00
_space_group_name_H-M_alt 'C 1 2/m 1'
_space_group_IT_number 12
loop_
_space_group_symop_operation_xyz
'x,y,z'
'-x,-y,-z'
'-x,y,-z'
'x,-y,z'
'x+1/2,y+1/2,z'
'-x+1/2,-y+1/2,-z'
'-x+1/2,y+1/2,-z'
'x+1/2,-y+1/2,z'
loop_
_atom_site_label
_atom_site_fract_x
_atom_site_fract_y
_atom_site_fract_z
_atom_site_occupancy
La1 0.000 0.000 0.000 1
La2 0.091 0.000 0.638 1
Dy1 0.046 0.500 0.819 1
Dy2 0.137 0.500 0.455 1
Dy3 0.181 0.000 0.273 1
Dy4 0.227 0.500 0.091 1
```